Diffraction record for V2Se2O11. The powder X-ray diffraction pattern is calculated, not measured: it uses a cell relaxed with PBE+U and Cu Kα X-rays.

Top 10 peaks for 2θ from 5° to 70°, low angle first:
18.2 deg, d 4.875, intensity 31; 20.6 deg, d 4.307, intensity 16; 24.1 deg, d 3.696, intensity 100; 24.6 deg, d 3.622, intensity 70; 32.1 deg, d 2.784, intensity 19; 33.0 deg, d 2.713, intensity 16; 33.6 deg, d 2.671, intensity 25; 33.9 deg, d 2.644, intensity 19; 44.0 deg, d 2.059, intensity 13; 65.2 deg, d 1.431, intensity 13

Structure:
Lattice parameters (Å, degrees): 8.3510 8.3510 9.7565 111.27 111.27 39.84
Fractional positions:
V 0.0452 0.1981 0.2895
V 0.1981 0.0452 0.7895
V 0.8019 0.9548 0.2105
V 0.9548 0.8019 0.7105
Se 0.2359 0.4714 0.4063
Se 0.4714 0.2359 0.9063
Se 0.5286 0.7641 0.0937
Se 0.7641 0.5286 0.5937
O 0.0435 0.7720 0.3839
O 0.0460 0.2701 0.9214
O 0.0964 0.9036 0.7500
O 0.1105 0.3792 0.2764
O 0.2212 0.4858 0.5796
O 0.2280 0.9565 0.1161
O 0.2701 0.0460 0.4214
O 0.2911 0.5271 0.8896
O 0.3792 0.1105 0.7764
O 0.4729 0.7089 0.6104
O 0.4858 0.2212 0.0796
O 0.5142 0.7788 0.9204
O 0.5271 0.2911 0.3896
O 0.6208 0.8895 0.2236
O 0.7089 0.4729 0.1104
O 0.7299 0.9540 0.5786
O 0.7720 0.0435 0.8839
O 0.7788 0.5142 0.4204
O 0.8895 0.6208 0.7236
O 0.9036 0.0964 0.2500
O 0.9540 0.7299 0.0786
O 0.9565 0.2280 0.6161